AlAgSn2Se6: simulated XRD peak list (λ = 1.5418 Å (Cu Kα)), based on a crystal structure in Alexandria, relaxed with PBE.
No peak broadening, texture or thermal motion is included.

Most intense lines, 2θ from 10° to 90°, in order of rising 2θ:
- 4.743 Å, 2θ = 18.7°, intensity 62
- 4.640 Å, 2θ = 19.1°, intensity 94
- 4.079 Å, 2θ = 21.8°, intensity 74
- 3.319 Å, 2θ = 26.9°, intensity 71
- 2.948 Å, 2θ = 30.3°, intensity 79
- 2.937 Å, 2θ = 30.4°, intensity 83
- 2.518 Å, 2θ = 35.7°, intensity 100
- 2.191 Å, 2θ = 41.2°, intensity 61
- 1.946 Å, 2θ = 46.7°, intensity 54
- 1.839 Å, 2θ = 49.6°, intensity 53

Structure:
```
data_AlAgSn2Se6
_chemical_formula_sum 'Al2 Ag2 Sn4 Se12'
_space_group_name_H-M_alt 'P 1'
_space_group_IT_number 1
_space_group_name_Hall 'P 1'
_cell_length_a 9.603
_cell_length_b 9.603
_cell_length_c 7.127
_cell_angle_alpha 106.68
_cell_angle_beta 106.68
_cell_angle_gamma 86.37
loop_
_atom_site_label
_atom_site_fract_x
_atom_site_fract_y
_atom_site_fract_z
Al1 0.179 0.821 0.750
Al2 0.821 0.179 0.250
Ag1 0.210 0.790 0.250
Ag2 0.790 0.210 0.750
Sn1 0.212 0.377 0.305
Sn2 0.377 0.212 0.805
Sn3 0.623 0.788 0.195
Sn4 0.788 0.623 0.695
Se1 0.018 0.174 0.096
Se2 0.102 0.633 0.424
Se3 0.174 0.018 0.596
Se4 0.299 0.446 0.029
Se5 0.367 0.898 0.076
Se6 0.446 0.299 0.529
Se7 0.554 0.701 0.471
Se8 0.633 0.102 0.924
Se9 0.701 0.554 0.971
Se10 0.826 0.982 0.404
Se11 0.898 0.367 0.576
Se12 0.982 0.826 0.904
```

=====

AlAg2SnSe4: simulated XRD peak list (λ = 1.5418 Å (Cu Kα)), based on a crystal structure in Alexandria, relaxed with PBE.
No peak broadening, texture or thermal motion is included.

Most intense lines, 2θ from 10° to 90°, in order of rising 2θ:
- 3.510 Å, 2θ = 25.4°, intensity 100
- 2.171 Å, 2θ = 41.6°, intensity 25
- 2.139 Å, 2θ = 42.2°, intensity 48
- 1.846 Å, 2θ = 49.4°, intensity 30
- 1.808 Å, 2θ = 50.5°, intensity 14
- 1.535 Å, 2θ = 60.3°, intensity 8
- 1.389 Å, 2θ = 67.4°, intensity 11
- 1.247 Å, 2θ = 76.4°, intensity 15
- 1.229 Å, 2θ = 77.7°, intensity 7
- 1.180 Å, 2θ = 81.6°, intensity 6

Structure:
```
data_AlAg2SnSe4
_chemical_formula_sum 'Al2 Ag4 Sn2 Se8'
_space_group_name_H-M_alt 'P 1'
_space_group_IT_number 1
_space_group_name_Hall 'P 1'
_cell_length_a 6.140
_cell_length_b 6.140
_cell_length_c 11.928
_cell_angle_alpha 90.00
_cell_angle_beta 90.00
_cell_angle_gamma 90.00
loop_
_atom_site_label
_atom_site_fract_x
_atom_site_fract_y
_atom_site_fract_z
Al1 0.000 0.000 0.000
Al2 0.500 0.500 0.500
Ag1 0.000 0.000 0.500
Ag2 0.000 0.500 0.250
Ag3 0.500 0.000 0.750
Ag4 0.500 0.500 0.000
Sn1 0.000 0.500 0.750
Sn2 0.500 0.000 0.250
Se1 0.225 0.761 0.114
Se2 0.239 0.225 0.886
Se3 0.261 0.275 0.386
Se4 0.275 0.739 0.614
Se5 0.725 0.261 0.614
Se6 0.739 0.725 0.386
Se7 0.761 0.775 0.886
Se8 0.775 0.239 0.114
```

=====

AlSiAg: simulated XRD peak list (λ = 1.5418 Å (Cu Kα)), based on a crystal structure in Alexandria, relaxed with PBE.
No peak broadening, texture or thermal motion is included.

Most intense lines, 2θ from 10° to 90°, in order of rising 2θ:
- 6.276 Å, 2θ = 14.1°, intensity 96
- 5.928 Å, 2θ = 14.9°, intensity 40
- 4.018 Å, 2θ = 22.1°, intensity 66
- 2.964 Å, 2θ = 30.1°, intensity 39
- 2.851 Å, 2θ = 31.4°, intensity 72
- 2.615 Å, 2θ = 34.3°, intensity 42
- 2.536 Å, 2θ = 35.4°, intensity 36
- 2.284 Å, 2θ = 39.5°, intensity 53
- 2.098 Å, 2θ = 43.1°, intensity 33
- 2.089 Å, 2θ = 43.3°, intensity 100

Structure:
```
data_AlSiAg
_chemical_formula_sum 'Al2 Si2 Ag2'
_space_group_name_H-M_alt 'P 1'
_space_group_IT_number 1
_space_group_name_Hall 'P 1'
_cell_length_a 2.799
_cell_length_b 6.155
_cell_length_c 6.349
_cell_angle_alpha 98.39
_cell_angle_beta 90.27
_cell_angle_gamma 103.01
loop_
_atom_site_label
_atom_site_fract_x
_atom_site_fract_y
_atom_site_fract_z
Al1 0.000 0.000 0.000
Al2 0.127 0.256 0.562
Si1 0.659 0.321 0.224
Si2 0.862 0.732 0.276
Ag1 0.433 0.868 0.627
Ag2 0.766 0.529 0.856
```

=====

Sm6AlAg5: simulated XRD peak list (λ = 1.5418 Å (Cu Kα)), based on a crystal structure in Alexandria, relaxed with PBE.
No peak broadening, texture or thermal motion is included.

Most intense lines, 2θ from 10° to 90°, in order of rising 2θ:
- 2.628 Å, 2θ = 34.1°, intensity 100
- 2.618 Å, 2θ = 34.2°, intensity 49
- 1.865 Å, 2θ = 48.8°, intensity 9
- 1.852 Å, 2θ = 49.2°, intensity 17
- 1.519 Å, 2θ = 61.0°, intensity 18
- 1.514 Å, 2θ = 61.2°, intensity 35
- 1.314 Å, 2θ = 71.8°, intensity 11
- 1.179 Å, 2θ = 81.7°, intensity 8
- 1.172 Å, 2θ = 82.2°, intensity 6
- 1.171 Å, 2θ = 82.3°, intensity 8

Structure:
```
data_Sm6AlAg5
_chemical_formula_sum 'Sm6 Al1 Ag5'
_space_group_name_H-M_alt 'P 1'
_space_group_IT_number 1
_space_group_name_Hall 'P 1'
_cell_length_a 5.234
_cell_length_b 7.462
_cell_length_c 8.282
_cell_angle_alpha 90.00
_cell_angle_beta 108.36
_cell_angle_gamma 90.00
loop_
_atom_site_label
_atom_site_fract_x
_atom_site_fract_y
_atom_site_fract_z
Sm1 0.000 0.248 0.000
Sm2 0.000 0.752 0.000
Sm3 0.334 0.252 0.666
Sm4 0.334 0.748 0.666
Sm5 0.666 0.252 0.334
Sm6 0.666 0.748 0.334
Al1 0.500 0.500 0.000
Ag1 0.158 0.500 0.319
Ag2 0.167 0.000 0.336
Ag3 0.500 0.000 0.000
Ag4 0.833 0.000 0.664
Ag5 0.842 0.500 0.681
```

=====

SmAl2Ag10: simulated XRD peak list (λ = 1.5418 Å (Cu Kα)), based on a crystal structure in Alexandria, relaxed with PBE.
No peak broadening, texture or thermal motion is included.

Most intense lines, 2θ from 10° to 90°, in order of rising 2θ:
- 3.021 Å, 2θ = 29.6°, intensity 19
- 2.739 Å, 2θ = 32.7°, intensity 53
- 2.710 Å, 2θ = 33.1°, intensity 30
- 2.382 Å, 2θ = 37.8°, intensity 100
- 2.364 Å, 2θ = 38.1°, intensity 59
- 2.355 Å, 2θ = 38.2°, intensity 48
- 2.117 Å, 2θ = 42.7°, intensity 46
- 2.106 Å, 2θ = 42.9°, intensity 21
- 1.379 Å, 2θ = 68.0°, intensity 14
- 1.369 Å, 2θ = 68.5°, intensity 23

Structure:
```
data_SmAl2Ag10
_chemical_formula_sum 'Sm1 Al2 Ag10'
_space_group_name_H-M_alt 'P 1'
_space_group_IT_number 1
_space_group_name_Hall 'P 1'
_cell_length_a 9.522
_cell_length_b 7.293
_cell_length_c 7.223
_cell_angle_alpha 81.99
_cell_angle_beta 49.32
_cell_angle_gamma 48.69
loop_
_atom_site_label
_atom_site_fract_x
_atom_site_fract_y
_atom_site_fract_z
Sm1 0.000 0.000 0.000
Al1 0.000 0.000 0.500
Al2 0.500 0.500 0.000
Ag1 0.000 0.500 0.000
Ag2 0.009 0.653 0.347
Ag3 0.285 0.506 0.494
Ag4 0.347 0.991 0.009
Ag5 0.494 0.715 0.285
Ag6 0.500 0.000 0.500
Ag7 0.506 0.285 0.715
Ag8 0.653 0.009 0.991
Ag9 0.715 0.494 0.506
Ag10 0.991 0.347 0.653
```

=====

Sm2Al6Ag9: simulated XRD peak list (λ = 1.5418 Å (Cu Kα)), based on a crystal structure in Alexandria, relaxed with PBE.
No peak broadening, texture or thermal motion is included.

Most intense lines, 2θ from 10° to 90°, in order of rising 2θ:
- 4.244 Å, 2θ = 20.9°, intensity 27
- 3.219 Å, 2θ = 27.7°, intensity 84
- 2.470 Å, 2θ = 36.4°, intensity 100
- 2.367 Å, 2θ = 38.0°, intensity 74
- 2.135 Å, 2θ = 42.3°, intensity 53
- 2.122 Å, 2θ = 42.6°, intensity 32
- 1.709 Å, 2θ = 53.6°, intensity 27
- 1.610 Å, 2θ = 57.2°, intensity 53
- 1.426 Å, 2θ = 65.5°, intensity 24
- 1.184 Å, 2θ = 81.3°, intensity 26

Structure:
```
data_Sm2Al6Ag9
_chemical_formula_sum 'Sm2 Al6 Ag9'
_space_group_name_H-M_alt 'P 1'
_space_group_IT_number 1
_space_group_name_Hall 'P 1'
_cell_length_a 5.704
_cell_length_b 5.704
_cell_length_c 12.733
_cell_angle_alpha 90.00
_cell_angle_beta 90.00
_cell_angle_gamma 120.00
loop_
_atom_site_label
_atom_site_fract_x
_atom_site_fract_y
_atom_site_fract_z
Sm1 0.000 0.000 0.168
Sm2 0.000 0.000 0.832
Al1 0.333 0.667 0.165
Al2 0.333 0.667 0.500
Al3 0.333 0.667 0.835
Al4 0.667 0.333 0.165
Al5 0.667 0.333 0.500
Al6 0.667 0.333 0.835
Ag1 0.000 0.500 0.000
Ag2 0.000 0.500 0.332
Ag3 0.000 0.500 0.668
Ag4 0.500 0.000 0.000
Ag5 0.500 0.000 0.332
Ag6 0.500 0.000 0.668
Ag7 0.500 0.500 0.000
Ag8 0.500 0.500 0.332
Ag9 0.500 0.500 0.668
```